Calculated XRD peak list
Compound: BaH2C2O4
Radiation: Cu Kα, 1.54184 Å
Structure: a cell relaxed with GGA-PBE
Intensities are scaled so that the largest is 100.

Main lines, low angle first (2θ from 10° to 90°):
2theta  d [Å]  I_rel
15.1  5.877  53.7
16.1  5.496  100.0
19.8  4.474  34.7
23.1  3.853  34.7
26.2  3.404  52.5
28.3  3.152  98.1
31.7  2.819  71.3
39.6  2.275  28.2
42.2  2.142  32.3
46.3  1.959  26.3

Atomic structure:
Lattice parameters (Å, degrees): 6.902 7.706 9.086 90.00 90.00 90.00
Element x y z (fractional)
1 Ba 0.078 0.212 0.164
2 Ba 0.422 0.788 0.664
3 Ba 0.578 0.288 0.836
4 Ba 0.922 0.712 0.336
5 H 0.004 0.062 0.699
6 H 0.231 0.793 0.009
7 H 0.269 0.207 0.509
8 H 0.496 0.938 0.199
9 H 0.504 0.438 0.301
10 H 0.731 0.707 0.991
11 H 0.769 0.293 0.491
12 H 0.996 0.562 0.801
13 C 0.074 0.126 0.795
14 C 0.248 0.649 0.012
15 C 0.252 0.351 0.512
16 C 0.426 0.874 0.295
17 C 0.574 0.374 0.205
18 C 0.748 0.851 0.988
19 C 0.752 0.149 0.488
20 C 0.926 0.626 0.705
21 O 0.022 0.740 0.635
22 O 0.135 0.416 0.418
23 O 0.149 0.567 0.106
24 O 0.244 0.076 0.828
25 O 0.256 0.924 0.328
26 O 0.351 0.433 0.606
27 O 0.365 0.584 0.918
28 O 0.478 0.260 0.135
29 O 0.522 0.760 0.365
30 O 0.635 0.084 0.582
31 O 0.649 0.933 0.894
32 O 0.744 0.424 0.172
33 O 0.756 0.576 0.672
34 O 0.851 0.067 0.394
35 O 0.865 0.916 0.082
36 O 0.978 0.240 0.865

***

Calculated XRD peak list
Compound: Th4P5O23
Radiation: Cu Kα, 1.54184 Å
Structure: a cell relaxed with GGA-PBE
Intensities are scaled so that the largest is 100.

Main lines, low angle first (2θ from 10° to 90°):
2theta  d [Å]  I_rel
13.6  6.513  31.3
13.9  6.377  41.5
16.6  5.335  92.7
18.6  4.781  27.1
21.8  4.085  39.2
25.1  3.554  100.0
29.2  3.063  33.8
29.4  3.041  32.6
30.1  2.970  27.9
34.2  2.624  24.7

Atomic structure:
Lattice parameters (Å, degrees): 6.764 7.107 11.081 89.30 74.34 89.48
Element x y z (fractional)
1 Th 0.000 0.000 0.000
2 Th 0.013 0.512 0.437
3 Th 0.313 0.001 0.444
4 Th 0.719 0.512 0.013
5 P 0.103 0.627 0.720
6 P 0.147 0.508 0.092
7 P 0.496 0.013 0.084
8 P 0.512 0.503 0.365
9 P 0.884 0.020 0.358
10 O 0.006 0.210 0.828
11 O 0.023 0.693 0.086
12 O 0.027 0.353 0.041
13 O 0.131 0.467 0.230
14 O 0.141 0.840 0.644
15 O 0.298 0.526 0.708
16 O 0.337 0.932 0.641
17 O 0.340 0.016 0.007
18 O 0.360 0.337 0.414
19 O 0.370 0.680 0.389
20 O 0.372 0.519 0.016
21 O 0.397 0.016 0.225
22 O 0.610 0.488 0.223
23 O 0.641 0.835 0.052
24 O 0.650 0.181 0.044
25 O 0.654 0.025 0.422
26 O 0.678 0.510 0.434
27 O 0.895 0.062 0.809
28 O 0.924 0.044 0.216
29 O 0.953 0.549 0.647
30 O 0.970 0.679 0.854
31 O 0.985 0.834 0.390
32 O 0.991 0.177 0.417

***

Calculated XRD peak list
Compound: LaMgSi2
Radiation: Cu Kα, 1.54184 Å
Structure: a cell relaxed with GGA-PBE
Intensities are scaled so that the largest is 100.

Main lines, low angle first (2θ from 10° to 90°):
2theta  d [Å]  I_rel
19.2  4.629  16.4
20.7  4.292  22.8
23.8  3.732  20.2
26.6  3.347  39.4
29.6  3.015  26.2
32.7  2.738  100.0
37.8  2.378  35.0
41.8  2.161  37.5
57.6  1.599  20.2
70.6  1.334  20.9

Atomic structure:
Lattice parameters (Å, degrees): 18.768 18.768 18.768 166.78 166.78 18.74
Element x y z (fractional)
1 La 0.298 0.548 0.750
2 La 0.452 0.702 0.750
3 La 0.548 0.298 0.250
4 La 0.702 0.452 0.250
5 Mg 0.125 0.375 0.750
6 Mg 0.375 0.125 0.250
7 Mg 0.625 0.875 0.750
8 Mg 0.875 0.625 0.250
9 Si 0.014 0.764 0.250
10 Si 0.077 0.827 0.250
11 Si 0.173 0.923 0.250
12 Si 0.236 0.986 0.250
13 Si 0.764 0.014 0.750
14 Si 0.827 0.077 0.750
15 Si 0.923 0.173 0.750
16 Si 0.986 0.236 0.750

***

Calculated XRD peak list
Compound: CsTe2O6
Radiation: Cu Kα, 1.54184 Å
Structure: a cell relaxed with GGA-PBE
Intensities are scaled so that the largest is 100.

Main lines, low angle first (2θ from 10° to 90°):
2theta  d [Å]  I_rel
23.7  3.754  21.1
27.8  3.207  54.3
28.1  3.179  100.0
28.2  3.166  53.8
29.4  3.035  60.1
44.6  2.031  20.8
44.8  2.024  30.4
48.5  1.877  38.7
49.1  1.855  40.7
57.4  1.605  25.5

Atomic structure:
Lattice parameters (Å, degrees): 7.510 7.510 7.510 59.22 59.22 59.22
Element x y z (fractional)
1 Cs 0.122 0.122 0.122
2 Cs 0.878 0.878 0.878
3 Te 0.000 0.500 0.500
4 Te 0.500 0.000 0.500
5 Te 0.500 0.500 0.000
6 Te 0.500 0.500 0.500
7 O 0.165 0.572 0.572
8 O 0.183 0.183 0.576
9 O 0.183 0.576 0.183
10 O 0.424 0.817 0.817
11 O 0.428 0.428 0.835
12 O 0.428 0.835 0.428
13 O 0.572 0.165 0.572
14 O 0.572 0.572 0.165
15 O 0.576 0.183 0.183
16 O 0.817 0.424 0.817
17 O 0.817 0.817 0.424
18 O 0.835 0.428 0.428

***

Calculated XRD peak list
Compound: YNi4As2
Radiation: Cu Kα, 1.54184 Å
Structure: a cell relaxed with GGA-PBE
Intensities are scaled so that the largest is 100.

Main lines, low angle first (2θ from 10° to 90°):
2theta  d [Å]  I_rel
35.0  2.562  25.1
36.5  2.462  100.0
39.3  2.292  39.0
42.6  2.122  52.3
46.3  1.960  84.0
48.1  1.892  39.1
52.0  1.758  27.7
63.8  1.459  17.3
69.4  1.354  20.2
73.5  1.288  18.7

Atomic structure:
Lattice parameters (Å, degrees): 7.247 7.247 3.784 90.00 90.00 90.00
Element x y z (fractional)
1 Y 0.000 0.000 0.000
2 Y 0.500 0.500 0.500
3 Ni 0.089 0.346 0.500
4 Ni 0.154 0.589 0.000
5 Ni 0.346 0.089 0.500
6 Ni 0.411 0.846 0.000
7 Ni 0.589 0.154 0.000
8 Ni 0.654 0.911 0.500
9 Ni 0.846 0.411 0.000
10 Ni 0.911 0.654 0.500
11 As 0.217 0.783 0.500
12 As 0.283 0.283 0.000
13 As 0.717 0.717 0.000
14 As 0.783 0.217 0.500

***

Calculated XRD peak list
Compound: Ti2FeRu
Radiation: Cu Kα, 1.54184 Å
Structure: a cell relaxed with GGA-PBE
Intensities are scaled so that the largest is 100.

Main lines, low angle first (2θ from 10° to 90°):
2theta  d [Å]  I_rel
25.5  3.498  7.7
29.5  3.029  9.3
42.2  2.142  100.0
49.9  1.827  3.9
52.3  1.749  2.6
61.2  1.515  15.4
67.4  1.390  1.7
69.4  1.355  3.4
77.1  1.237  30.0
82.8  1.166  1.3

Atomic structure:
Lattice parameters (Å, degrees): 6.059 6.059 6.059 90.00 90.00 90.00
Element x y z (fractional)
1 Ti 0.250 0.250 0.250
2 Ti 0.250 0.250 0.750
3 Ti 0.250 0.750 0.250
4 Ti 0.250 0.750 0.750
5 Ti 0.750 0.250 0.250
6 Ti 0.750 0.250 0.750
7 Ti 0.750 0.750 0.250
8 Ti 0.750 0.750 0.750
9 Fe 0.000 0.000 0.000
10 Fe 0.000 0.500 0.500
11 Fe 0.500 0.000 0.500
12 Fe 0.500 0.500 0.000
13 Ru 0.000 0.000 0.500
14 Ru 0.000 0.500 0.000
15 Ru 0.500 0.000 0.000
16 Ru 0.500 0.500 0.500

***

Calculated XRD peak list
Compound: La3NbCl3O6
Radiation: Cu Kα, 1.54184 Å
Structure: a cell relaxed with GGA-PBE
Intensities are scaled so that the largest is 100.

Main lines, low angle first (2θ from 10° to 90°):
2theta  d [Å]  I_rel
10.6  8.329  38.1
24.8  3.595  75.1
27.0  3.301  43.4
28.4  3.148  46.6
32.9  2.721  100.0
33.1  2.707  30.4
44.1  2.052  52.8
46.9  1.938  16.5
50.7  1.802  34.7
59.0  1.566  17.9

Atomic structure:
Lattice parameters (Å, degrees): 9.617 9.617 5.414 90.00 90.00 120.00
Element x y z (fractional)
1 La 0.090 0.685 0.250
2 La 0.315 0.405 0.250
3 La 0.405 0.090 0.750
4 La 0.595 0.910 0.250
5 La 0.685 0.595 0.750
6 La 0.910 0.315 0.750
7 Nb 0.333 0.667 0.750
8 Nb 0.667 0.333 0.250
9 Cl 0.050 0.810 0.750
10 Cl 0.190 0.240 0.750
11 Cl 0.240 0.050 0.250
12 Cl 0.760 0.950 0.750
13 Cl 0.810 0.760 0.250
14 Cl 0.950 0.190 0.250
15 O 0.158 0.522 0.514
16 O 0.158 0.522 0.986
17 O 0.364 0.842 0.514
18 O 0.364 0.842 0.986
19 O 0.478 0.636 0.514
20 O 0.478 0.636 0.986
21 O 0.522 0.364 0.014
22 O 0.522 0.364 0.486
23 O 0.636 0.158 0.014
24 O 0.636 0.158 0.486
25 O 0.842 0.478 0.014
26 O 0.842 0.478 0.486